[1]
The following is a simulated X-ray diffraction stick pattern of Ce3GeB2Ir9. It was derived from a cell relaxed with PBE, using CuKα.
Intensities are scaled so that the largest is 100.

Peak list (10 most intense, 2θ = 10–90°, sorted by position)
2θ (°), d (Å), intensity
30.6, 2.926, 27
37.3, 2.410, 100
41.5, 2.176, 74
47.8, 1.903, 11
55.7, 1.651, 11
64.4, 1.447, 24
64.9, 1.438, 11
72.9, 1.297, 14
76.9, 1.240, 11
79.6, 1.205, 11

Cell and atoms:
Cell lengths 5.7868, 5.7868, 8.7769 Å; angles 90.00, 90.00, 120.00 degrees
Space group P-3m1 (No. 164)
Symmetry-distinct sites (fractional):
Ce: 0.0000 0.0000 0.0000 (multiplicity 1)
Ce: 0.3333 0.6667 0.6208 (multiplicity 2)
Ge: 0.0000 0.0000 0.5000 (multiplicity 1)
B: 0.3333 0.6667 0.1490 (multiplicity 2)
Ir: 0.0000 0.5000 0.0000 (multiplicity 3)
Ir: 0.1618 0.3236 0.2812 (multiplicity 6)

=====

[2]
The following is a simulated X-ray diffraction stick pattern of CeB3H12. It was derived from a cell relaxed with PBE, using CuKα.
Intensities are scaled so that the largest is 100.

Peak list (10 most intense, 2θ = 10–90°, sorted by position)
2θ (°), d (Å), intensity
15.5, 5.711, 100
21.9, 4.051, 29
22.1, 4.026, 28
27.1, 3.291, 12
31.3, 2.856, 21
35.0, 2.560, 24
35.2, 2.548, 23
38.7, 2.328, 22
47.8, 1.904, 10
47.9, 1.899, 10

Cell and atoms:
Cell lengths 8.0527, 8.0527, 19.9062 Å; angles 90.00, 90.00, 120.00 degrees
Space group R-3c (No. 167, hexagonal axes)
Symmetry-distinct sites (fractional):
Ce: 0.0000 0.0000 0.0000 (multiplicity 6)
B: 0.0000 0.4909 0.2500 (multiplicity 18)
H: 0.0029 0.1956 0.9080 (multiplicity 36)
H: 0.0159 0.4269 0.7002 (multiplicity 36)

=====

[3]
The following is a simulated X-ray diffraction stick pattern of CeB4H12. It was derived from a cell relaxed with PBE, using CuKα.
Intensities are scaled so that the largest is 100.

Peak list (10 most intense, 2θ = 10–90°, sorted by position)
2θ (°), d (Å), intensity
20.5, 4.335, 100
29.1, 3.065, 10
35.9, 2.503, 49
41.7, 2.167, 22
46.9, 1.939, 23
56.1, 1.638, 26
64.5, 1.445, 13
76.1, 1.251, 7
79.8, 1.202, 14
87.1, 1.119, 8

Cell and atoms:
Cell lengths 6.1302, 6.1302, 6.1302 Å; angles 90.00, 90.00, 90.00 degrees
Space group Im-3m (No. 229)
Symmetry-distinct sites (fractional):
Ce: 0.0000 0.0000 0.0000 (multiplicity 2)
B: 0.2500 0.2500 0.2500 (multiplicity 8)
H: 0.0000 0.2566 0.2566 (multiplicity 24)